Computed PXRD pattern of Nb4Co2PtSe12 for Cu Kα (λ = 1.5418 Å), from a DFT-relaxed cell (GGA-PBE, OQMD).
Kinematic intensities with the Lorentz-polarization factor, no thermal factor.

Peak list (10 most intense, 10 to 90 degrees two-theta, in order of rising 2θ)
| Position (°2θ) | intensity |
| --- | --- |
| 12.99 | 100 |
| 13.98 | 40 |
| 27.92 | 32 |
| 29.57 | 21 |
| 35.28 | 33 |
| 36.62 | 29 |
| 36.97 | 21 |
| 40.10 | 39 |
| 44.09 | 33 |
| 53.73 | 23 |

Crystal structure
Cell: 7.0262 7.0262 19.3309 Å, 108.70 108.70 28.10°
Atoms (fractional coordinates):
Nb 0.1194 0.1194 0.1482
Nb 0.2425 0.2425 0.4070
Nb 0.7575 0.7575 0.5930
Nb 0.8806 0.8806 0.8518
Co 0.2732 0.2732 0.7181
Co 0.7268 0.7268 0.2819
Pt 0.5000 0.5000 0.0000
Se 0.1010 0.1010 0.2800
Se 0.1262 0.1262 0.6106
Se 0.3068 0.3068 0.2340
Se 0.3117 0.3117 0.9282
Se 0.3705 0.3705 0.5483
Se 0.4645 0.4645 0.1173
Se 0.5355 0.5355 0.8827
Se 0.6295 0.6295 0.4517
Se 0.6883 0.6883 0.0718
Se 0.6932 0.6932 0.7660
Se 0.8738 0.8738 0.3894
Se 0.8990 0.8990 0.7200

Computed PXRD pattern of Nb4Co2ReSe12 for Cu Kα (λ = 1.5418 Å), from a DFT-relaxed cell (GGA-PBE, OQMD).
Kinematic intensities with the Lorentz-polarization factor, no thermal factor.

Peak list (10 most intense, 10 to 90 degrees two-theta, in order of rising 2θ)
| Position (°2θ) | intensity |
| --- | --- |
| 12.89 | 100 |
| 13.81 | 48 |
| 28.13 | 30 |
| 29.83 | 28 |
| 35.28 | 38 |
| 37.02 | 28 |
| 37.24 | 31 |
| 40.07 | 33 |
| 44.18 | 31 |
| 54.17 | 24 |

Crystal structure
Cell: 7.0733 7.0733 19.3234 Å, 109.74 109.74 27.70°
Atoms (fractional coordinates):
Nb 0.1158 0.1158 0.1435
Nb 0.2418 0.2418 0.4060
Nb 0.7582 0.7582 0.5940
Nb 0.8842 0.8842 0.8565
Co 0.2739 0.2739 0.7181
Co 0.7261 0.7261 0.2819
Re 0.5000 0.5000 0.0000
Se 0.1001 0.1001 0.2775
Se 0.1263 0.1263 0.6096
Se 0.3040 0.3040 0.2334
Se 0.3105 0.3105 0.9301
Se 0.3702 0.3702 0.5491
Se 0.4606 0.4606 0.1156
Se 0.5394 0.5394 0.8844
Se 0.6298 0.6298 0.4509
Se 0.6895 0.6895 0.0699
Se 0.6960 0.6960 0.7666
Se 0.8737 0.8737 0.3904
Se 0.8999 0.8999 0.7225

Computed PXRD pattern of Nb2CoS4 for Cu Kα (λ = 1.5418 Å), from a DFT-relaxed cell (GGA-PBE, OQMD).
Kinematic intensities with the Lorentz-polarization factor, no thermal factor.

Peak list (10 most intense, 10 to 90 degrees two-theta, in order of rising 2θ)
| Position (°2θ) | intensity |
| --- | --- |
| 15.13 | 100 |
| 30.93 | 44 |
| 31.21 | 60 |
| 34.08 | 41 |
| 38.20 | 30 |
| 39.67 | 76 |
| 41.03 | 67 |
| 43.52 | 36 |
| 46.41 | 33 |
| 55.27 | 29 |

Crystal structure
Cell: 11.7084 3.3242 12.9119 Å, 90.00 90.00 90.00°
Atoms (fractional coordinates):
Nb 0.0382 0.2500 0.0997
Nb 0.0702 0.2500 0.5729
Nb 0.4298 0.7500 0.0729
Nb 0.4618 0.7500 0.5997
Nb 0.5382 0.2500 0.4003
Nb 0.5702 0.2500 0.9271
Nb 0.9298 0.7500 0.4271
Nb 0.9618 0.7500 0.9003
Co 0.1535 0.2500 0.2711
Co 0.3465 0.7500 0.7711
Co 0.6535 0.2500 0.2289
Co 0.8465 0.7500 0.7289
S 0.0397 0.7500 0.7138
S 0.1129 0.2500 0.9260
S 0.1396 0.7500 0.4421
S 0.2010 0.7500 0.1599
S 0.2990 0.2500 0.6599
S 0.3604 0.2500 0.9421
S 0.3871 0.7500 0.4260
S 0.4603 0.2500 0.2138
S 0.5397 0.7500 0.7862
S 0.6129 0.2500 0.5740
S 0.6396 0.7500 0.0579
S 0.7010 0.7500 0.3401
S 0.7990 0.2500 0.8401
S 0.8604 0.2500 0.5579
S 0.8871 0.7500 0.0740
S 0.9603 0.2500 0.2862

Computed PXRD pattern of Nb4CoS8 for Cu Kα (λ = 1.5418 Å), from a DFT-relaxed cell (GGA-PBE, OQMD).
Kinematic intensities with the Lorentz-polarization factor, no thermal factor.

Peak list (10 most intense, 10 to 90 degrees two-theta, in order of rising 2θ)
| Position (°2θ) | intensity |
| --- | --- |
| 15.17 | 65 |
| 30.99 | 44 |
| 31.95 | 18 |
| 34.68 | 70 |
| 38.85 | 16 |
| 44.13 | 100 |
| 55.14 | 37 |
| 57.54 | 11 |
| 73.18 | 21 |
| 89.20 | 17 |

Crystal structure
Cell: 6.6629 6.6629 11.6805 Å, 90.00 90.00 120.00°
Atoms (fractional coordinates):
Nb 0.0000 0.0000 0.2500
Nb 0.0000 0.0000 0.7500
Nb 0.0133 0.5066 0.2500
Nb 0.4934 0.5066 0.2500
Nb 0.4934 0.9867 0.2500
Nb 0.5066 0.0133 0.7500
Nb 0.5066 0.4934 0.7500
Nb 0.9867 0.4934 0.7500
Co 0.0000 0.0000 0.0000
Co 0.0000 0.0000 0.5000
S 0.1653 0.3305 0.6156
S 0.1653 0.3305 0.8844
S 0.1653 0.8347 0.6156
S 0.1653 0.8347 0.8844
S 0.3305 0.1653 0.1156
S 0.3305 0.1653 0.3844
S 0.3333 0.6667 0.1111
S 0.3333 0.6667 0.3889
S 0.6667 0.3333 0.6111
S 0.6667 0.3333 0.8889
S 0.6695 0.8347 0.6156
S 0.6695 0.8347 0.8844
S 0.8347 0.1653 0.1156
S 0.8347 0.1653 0.3844
S 0.8347 0.6695 0.1156
S 0.8347 0.6695 0.3844

Computed PXRD pattern of Nb4Co5Sb5 for Cu Kα (λ = 1.5418 Å), from a DFT-relaxed cell (GGA-PBE, OQMD).
Kinematic intensities with the Lorentz-polarization factor, no thermal factor.

Peak list (10 most intense, 10 to 90 degrees two-theta, in order of rising 2θ)
| Position (°2θ) | intensity |
| --- | --- |
| 26.11 | 37 |
| 30.05 | 19 |
| 30.33 | 38 |
| 43.22 | 100 |
| 43.42 | 47 |
| 51.37 | 9 |
| 53.71 | 14 |
| 63.08 | 14 |
| 79.12 | 14 |
| 79.54 | 26 |

Crystal structure
Cell: 7.2305 7.2305 7.2305 Å, 99.74 99.74 131.43°
Atoms (fractional coordinates):
Nb 0.0914 0.6940 0.7955
Nb 0.3060 0.1016 0.3974
Nb 0.7042 0.9086 0.6026
Nb 0.8984 0.2958 0.2045
Co 0.0154 0.3356 0.8949
Co 0.2500 0.7500 0.5000
Co 0.4407 0.1205 0.1051
Co 0.6644 0.5593 0.6798
Co 0.8795 0.9846 0.3202
Sb 0.0000 0.0000 0.0000
Sb 0.2243 0.4153 0.6272
Sb 0.4029 0.7757 0.1910
Sb 0.5847 0.2119 0.8090
Sb 0.7881 0.5971 0.3728

Computed PXRD pattern of Nb9Co8Sb9 for Cu Kα (λ = 1.5418 Å), from a DFT-relaxed cell (GGA-PBE, OQMD).
Kinematic intensities with the Lorentz-polarization factor, no thermal factor.

Peak list (10 most intense, 10 to 90 degrees two-theta, in order of rising 2θ)
| Position (°2θ) | intensity |
| --- | --- |
| 25.83 | 20 |
| 26.06 | 21 |
| 29.86 | 32 |
| 29.96 | 27 |
| 30.32 | 35 |
| 42.80 | 100 |
| 43.15 | 64 |
| 43.38 | 30 |
| 53.10 | 11 |
| 78.86 | 15 |

Crystal structure
Cell: 7.3398 7.3398 12.5166 Å, 107.28 107.28 47.95°
Atoms (fractional coordinates):
Nb 0.0000 0.0000 0.0000
Nb 0.3401 0.3182 0.1103
Nb 0.3448 0.3152 0.7810
Nb 0.4383 0.2624 0.4410
Nb 0.6818 0.6599 0.8897
Nb 0.6848 0.6552 0.2190
Nb 0.7376 0.5617 0.5590
Nb 0.9171 0.0635 0.3898
Nb 0.9365 0.0829 0.6102
Co 0.0862 0.5792 0.9460
Co 0.1051 0.5462 0.2703
Co 0.1125 0.5319 0.6185
Co 0.4208 0.9138 0.0540
Co 0.4538 0.8949 0.7297
Co 0.4681 0.8875 0.3815
Co 0.7433 0.2554 0.8390
Co 0.7446 0.2567 0.1610
Sb 0.1634 0.1524 0.8782
Sb 0.1708 0.1482 0.2286
Sb 0.2600 0.1000 0.5512
Sb 0.4741 0.5197 0.6702
Sb 0.4803 0.5259 0.3298
Sb 0.4965 0.5035 0.0000
Sb 0.8476 0.8366 0.1218
Sb 0.8518 0.8292 0.7714
Sb 0.9000 0.7400 0.4488

Computed PXRD pattern of Nb5Co5Sb4 for Cu Kα (λ = 1.5418 Å), from a DFT-relaxed cell (GGA-PBE, OQMD).
Kinematic intensities with the Lorentz-polarization factor, no thermal factor.

Peak list (10 most intense, 10 to 90 degrees two-theta, in order of rising 2θ)
| Position (°2θ) | intensity |
| --- | --- |
| 26.27 | 30 |
| 30.04 | 19 |
| 30.61 | 36 |
| 43.42 | 100 |
| 43.84 | 45 |
| 54.06 | 12 |
| 62.44 | 8 |
| 63.73 | 13 |
| 79.40 | 15 |
| 80.27 | 25 |

Crystal structure
Cell: 7.1765 7.1765 7.1765 Å, 99.89 99.89 131.02°
Atoms (fractional coordinates):
Nb 0.0000 0.0000 0.0000
Nb 0.2217 0.5907 0.8152
Nb 0.4093 0.2245 0.6310
Nb 0.5935 0.7783 0.3690
Nb 0.7755 0.4065 0.1848
Co 0.1351 0.4454 0.0972
Co 0.3482 0.0378 0.9028
Co 0.5546 0.6518 0.6897
Co 0.7500 0.2500 0.5000
Co 0.9622 0.8649 0.3103
Sb 0.0944 0.3052 0.3963
Sb 0.3018 0.9056 0.2108
Sb 0.6948 0.0910 0.7892
Sb 0.9090 0.6982 0.6037

Computed PXRD pattern of Nb4Co2Se13 for Cu Kα (λ = 1.5418 Å), from a DFT-relaxed cell (GGA-PBE, OQMD).
Kinematic intensities with the Lorentz-polarization factor, no thermal factor.

Peak list (10 most intense, 10 to 90 degrees two-theta, in order of rising 2θ)
| Position (°2θ) | intensity |
| --- | --- |
| 13.02 | 89 |
| 13.62 | 36 |
| 14.09 | 30 |
| 32.15 | 21 |
| 33.04 | 20 |
| 34.69 | 25 |
| 35.40 | 100 |
| 40.10 | 42 |
| 43.78 | 27 |
| 53.79 | 38 |

Crystal structure
Cell: 7.0198 7.0198 19.6266 Å, 106.77 106.77 28.11°
Atoms (fractional coordinates):
Nb 0.1262 0.1262 0.1576
Nb 0.2415 0.2415 0.4091
Nb 0.7585 0.7585 0.5909
Nb 0.8738 0.8738 0.8424
Co 0.2712 0.2712 0.7155
Co 0.7288 0.7288 0.2845
Se 0.1038 0.1038 0.2863
Se 0.1284 0.1284 0.6119
Se 0.3045 0.3045 0.9192
Se 0.3110 0.3110 0.2381
Se 0.3701 0.3701 0.5435
Se 0.4718 0.4718 0.1274
Se 0.5000 0.5000 0.0000
Se 0.5282 0.5282 0.8726
Se 0.6299 0.6299 0.4565
Se 0.6890 0.6890 0.7619
Se 0.6955 0.6955 0.0808
Se 0.8716 0.8716 0.3881
Se 0.8962 0.8962 0.7137